Starting from a DFT-relaxed cell (GGA+U, Alexandria), the XRD peak list of Li2AlNiO4 was simulated for Cu Kα (weighted mean of Kα1 and Kα2).
Peak positions follow from Bragg's law for the DFT cell and can differ from measured ones.

Cell and atoms:
```
16
Lattice="3.7261 -3.7466 0.0000 3.7261 3.7466 0.0000 0.0000 0.0000 6.3750" Properties=species:S:1:pos:R:3 pbc="T T T"
Li 3.7261 2.3810 4.7813
Li 2.3381 0.0000 0.0000
Li 5.1140 0.0000 3.1875
Li 3.7261 -2.3810 1.5938
Al 2.4071 0.0000 3.1875
Al 5.0451 0.0000 0.0000
Ni 3.7261 2.4213 1.5938
Ni 3.7261 -2.4213 4.7813
O 1.4099 0.0947 4.6484
O 1.4099 -0.0947 1.7266
O 3.5583 1.3674 3.1005
O 3.8938 1.3674 0.0870
O 3.5583 -1.3674 3.2745
O 3.8938 -1.3674 6.2880
O 6.0423 0.0947 4.9141
O 6.0423 -0.0947 1.4609
```

Most intense lines, 2θ = 10–90°, in order of falling intensity:
- 21.85°, rel. 100
- 33.93°, rel. 47
- 32.81°, rel. 44
- 60.01°, rel. 31
- 27.62°, rel. 18
- 23.88°, rel. 17
- 47.85°, rel. 15
- 40.80°, rel. 14
- 36.83°, rel. 12
- 57.86°, rel. 9